This entry pairs a crystal structure of H5PbCN2Cl3 with its calculated powder X-ray diffraction pattern. Radiation: a wavelength of 1.5418 Å. Structure: a crystal structure in the Materials Project, relaxed with GGA-PBE.
No peak broadening, texture or thermal motion is included.

Atomic structure:
Cell: 5.936 5.981 5.696 Å, 90.00 90.00 90.00°
Sites, in units of the cell vectors:
H: 0.000 0.000 0.000
H: 0.000 0.219 0.528
H: 0.000 0.331 0.812
H: 0.000 0.669 0.812
H: 0.000 0.781 0.528
Pb: 0.500 0.500 0.235
C: 0.000 0.000 0.809
N: 0.000 0.195 0.705
N: 0.000 0.805 0.705
Cl: 0.000 0.500 0.201
Cl: 0.500 0.000 0.249
Cl: 0.500 0.500 0.740

Largest 10 diffraction maxima, by intensity, 5 to 70 degrees two-theta:
d_spacing, I (rel.)
4.116, 100
5.981, 70
5.936, 50
5.696, 50
4.213, 48
2.569, 37
2.968, 37
2.848, 29
2.671, 27
2.648, 27

This entry pairs a crystal structure of H8PdC2NCl3 with its calculated powder X-ray diffraction pattern. Radiation: a wavelength of 1.5418 Å. Structure: a crystal structure in the Materials Project, relaxed with GGA-PBE.
No peak broadening, texture or thermal motion is included.

Atomic structure:
Cell: 7.764 7.764 7.234 Å, 90.20 90.20 118.42°
Sites, in units of the cell vectors:
H: 0.000 0.277 0.500
H: 0.000 0.723 0.500
H: 0.009 0.170 0.190
H: 0.061 0.589 0.667
H: 0.170 0.009 0.690
H: 0.217 0.749 0.962
H: 0.251 0.783 0.538
H: 0.277 0.000 0.000
H: 0.411 0.939 0.833
H: 0.589 0.061 0.167
H: 0.723 0.000 0.000
H: 0.749 0.217 0.462
H: 0.783 0.251 0.038
H: 0.830 0.991 0.310
H: 0.939 0.411 0.333
H: 0.991 0.830 0.810
Pd: 0.500 0.500 0.000
Pd: 0.500 0.500 0.500
C: 0.108 0.731 0.603
C: 0.269 0.892 0.897
C: 0.731 0.108 0.103
C: 0.892 0.269 0.397
N: 0.126 0.874 0.750
N: 0.874 0.126 0.250
Cl: 0.177 0.321 0.895
Cl: 0.321 0.177 0.395
Cl: 0.390 0.610 0.250
Cl: 0.610 0.390 0.750
Cl: 0.679 0.823 0.605
Cl: 0.823 0.679 0.105

Largest 10 diffraction maxima, by intensity, 5 to 70 degrees two-theta:
d_spacing, I (rel.)
6.828, 100
6.669, 72
3.880, 33
3.204, 31
3.420, 19
3.180, 15
2.452, 14
3.094, 13
2.072, 13
2.650, 13

This entry pairs a crystal structure of H16PtC4N2Cl6 with its calculated powder X-ray diffraction pattern. Radiation: a wavelength of 1.5418 Å. Structure: a crystal structure in the Materials Project, relaxed with GGA-PBE.
No peak broadening, texture or thermal motion is included.

Atomic structure:
Cell: 8.065 8.065 7.379 Å, 115.88 115.88 75.02°
Sites, in units of the cell vectors:
H: 0.004 0.436 0.219
H: 0.146 0.146 0.257
H: 0.150 0.150 0.037
H: 0.210 0.468 0.458
H: 0.214 0.473 0.218
H: 0.436 0.004 0.219
H: 0.468 0.210 0.458
H: 0.473 0.214 0.218
H: 0.527 0.786 0.782
H: 0.532 0.790 0.542
H: 0.564 0.996 0.781
H: 0.786 0.527 0.782
H: 0.790 0.532 0.542
H: 0.850 0.850 0.963
H: 0.854 0.854 0.743
H: 0.996 0.564 0.781
Pt: 0.000 0.000 0.500
C: 0.156 0.409 0.280
C: 0.409 0.156 0.280
C: 0.591 0.844 0.720
C: 0.844 0.591 0.720
N: 0.207 0.207 0.205
N: 0.793 0.793 0.795
Cl: 0.164 0.834 0.731
Cl: 0.166 0.836 0.269
Cl: 0.222 0.222 0.713
Cl: 0.778 0.778 0.287
Cl: 0.834 0.164 0.731
Cl: 0.836 0.166 0.269

Largest 10 diffraction maxima, by intensity, 5 to 70 degrees two-theta:
d_spacing, I (rel.)
7.230, 100
5.898, 29
6.161, 23
5.982, 20
2.949, 19
4.911, 13
4.010, 12
2.992, 11
3.910, 11
2.397, 11

This entry pairs a crystal structure of H16PtC4N2Cl6 with its calculated powder X-ray diffraction pattern. Radiation: a wavelength of 1.5418 Å. Structure: a crystal structure in the Materials Project, relaxed with GGA-PBE.
No peak broadening, texture or thermal motion is included.

Atomic structure:
Cell: 8.669 8.669 8.669 Å, 129.78 106.10 94.75°
Sites, in units of the cell vectors:
H: 0.019 0.221 0.797
H: 0.156 0.044 0.888
H: 0.156 0.269 0.112
H: 0.210 0.210 0.756
H: 0.210 0.454 0.000
H: 0.424 0.221 0.203
H: 0.454 0.210 0.000
H: 0.454 0.454 0.244
H: 0.546 0.546 0.756
H: 0.546 0.790 0.000
H: 0.576 0.779 0.797
H: 0.790 0.546 0.000
H: 0.790 0.790 0.244
H: 0.844 0.731 0.888
H: 0.844 0.956 0.112
H: 0.981 0.779 0.203
Pt: 0.000 0.500 0.500
C: 0.159 0.279 0.880
C: 0.399 0.279 0.120
C: 0.601 0.721 0.880
C: 0.841 0.721 0.120
N: 0.210 0.210 0.000
N: 0.790 0.790 0.000
Cl: 0.157 0.270 0.427
Cl: 0.157 0.730 0.887
Cl: 0.200 0.700 0.500
Cl: 0.800 0.300 0.500
Cl: 0.843 0.270 0.113
Cl: 0.843 0.730 0.573

Largest 10 diffraction maxima, by intensity, 5 to 70 degrees two-theta:
d_spacing, I (rel.)
7.795, 100
6.235, 38
4.200, 24
6.011, 22
3.998, 19
2.469, 18
3.005, 14
5.211, 13
3.669, 13
1.721, 12